# LiCo3OF5
Calculated powder diffractogram, a wavelength of 1.5418 Å. Input: a crystal structure in Alexandria, relaxed with PBE+U.
Neutral-atom scattering factors, no anomalous dispersion.

Crystal structure
```
data_LiCo3OF5
_chemical_formula_sum 'Li4 Co12 O4 F20'
_space_group_name_H-M_alt 'P 1'
_space_group_IT_number 1
_cell_length_a 8.3994
_cell_length_b 8.4024
_cell_length_c 8.4558
_cell_angle_alpha 109.02
_cell_angle_beta 109.62
_cell_angle_gamma 108.92
loop_
_space_group_symop_operation_xyz
'x,y,z'
loop_
_atom_site_label
_atom_site_fract_x
_atom_site_fract_y
_atom_site_fract_z
Li1 0.0000 0.0000 0.0000
Li2 0.0393 0.5244 0.5198
Li3 0.4846 0.4748 0.9737
Li4 0.5280 0.0241 0.5044
Co1 0.0055 0.2211 0.7491
Co2 0.0585 0.7861 0.2486
Co3 0.2324 0.7615 0.9528
Co4 0.2665 0.0273 0.7760
Co5 0.2727 0.5368 0.2860
Co6 0.3122 0.2542 0.5440
Co7 0.4892 0.7497 0.7680
Co8 0.5489 0.2829 0.2688
Co9 0.7377 0.7594 0.4701
Co10 0.7556 0.4613 0.7061
Co11 0.7591 0.9603 0.2011
Co12 0.7982 0.2344 0.0355
O1 0.2390 0.2428 0.7429
O2 0.2594 0.7853 0.7415
O3 0.5169 0.2503 0.4732
O4 0.7431 0.9704 0.9709
F1 0.0073 0.5300 0.2525
F2 0.0154 0.4588 0.7305
F3 0.0669 0.0474 0.2786
F4 0.0784 0.2821 0.0410
F5 0.2512 0.4598 0.4878
F6 0.2813 0.7530 0.2124
F7 0.2826 0.0505 0.0561
F8 0.2856 0.9676 0.5190
F9 0.4729 0.7237 0.0274
F10 0.4847 0.5076 0.2347
F11 0.5219 0.7735 0.5388
F12 0.5671 0.2735 0.0174
F13 0.5731 0.5339 0.7930
F14 0.7464 0.9998 0.4560
F15 0.7593 0.2361 0.7826
F16 0.7941 0.2420 0.2996
F17 0.7986 0.5652 0.5107
F18 0.8106 0.7433 0.2515
F19 0.9611 0.9484 0.7293
F20 0.9700 0.7212 0.9606
```

Peak list (8 most intense, 2θ = 10–80°, by angle)
(1 1 -1), 2θ 18.1, rel. 35.0
(0 2 0), 2θ 25.7, rel. 22.1
(2 0 -2), 2θ 25.8, rel. 21.7
(1 1 1), 2θ 31.4, rel. 54.7
(1 1 -3), 2θ 31.7, rel. 48.6
(-3 1 1), 2θ 32.0, rel. 100.0
(0 4 0), 2θ 52.8, rel. 18.8
(4 0 -4), 2θ 53.2, rel. 19.2